Entry 1:
Structure and simulated powder X-ray diffraction pattern of Ac3Zn2Pd6 (a crystal structure in Alexandria, relaxed with GGA-PBE; Cu Kα (λ = 1.5418 Å)).
Lines closer than 0.1° are merged.

Peak list (8 most intense, 2θ from 15° to 90°, sorted by position)
- hkl 3 1 0, 28.51°, I = 353
- hkl 2 2 2, 31.30°, I = 166
- hkl 3 2 1, 33.88°, I = 203
- hkl 4 0 0, 36.30°, I = 200
- hkl 3 3 0, 38.59°, I = 1000
- hkl 4 3 3, 54.02°, I = 128
- hkl 5 3 2, 57.38°, I = 154
- hkl 6 3 3, 69.82°, I = 296

Structure:
Lattice parameters (Å, degrees): 9.8988 9.8988 9.8988 90.00 90.00 90.00
Space group Im-3m (No. 229)
Symmetry-distinct sites (fractional):
Ac 0.0000 0.0000 0.3007 [12 per cell]
Zn 0.2500 0.2500 0.2500 [8 per cell]
Pd 0.0000 0.3267 0.3267 [24 per cell]

Entry 2:
Structure and simulated powder X-ray diffraction pattern of Cu2Si (a crystal structure in Alexandria, relaxed with GGA-PBE; Cu Kα (λ = 1.5418 Å)).
Lines closer than 0.1° are merged.

Peak list (8 most intense, 2θ from 15° to 90°, sorted by position)
- hkl 1 1 1, 31.07°, I = 141
- hkl 0 2 0, 40.91°, I = 252
- hkl 0 0 2, 41.25°, I = 315
- hkl 3 1 1, 46.07°, I = 1000
- hkl 0 2 2, 59.49°, I = 155
- hkl 6 0 0, 74.49°, I = 137
- hkl 3 1 3, 78.61°, I = 186
- hkl 6 0 2, 88.89°, I = 172

Structure:
Lattice parameters (Å, degrees): 7.6436 4.4121 4.3773 90.00 90.00 90.00
Space group Cmcm (No. 63)
Symmetry-distinct sites (fractional):
Cu 0.1659 0.1837 0.2500 [8 per cell]
Si 0.0000 0.3170 0.7500 [4 per cell]

Entry 3:
Structure and simulated powder X-ray diffraction pattern of Re2RuW (a crystal structure in Alexandria, relaxed with GGA-PBE; Cu Kα (λ = 1.5418 Å)).
Lines closer than 0.1° are merged.

Peak list (8 most intense, 2θ from 15° to 90°, sorted by position)
- hkl 1 1 0, 39.84°, I = 1000
- hkl 1 0 2, 46.21°, I = 328
- hkl 0 2 0, 46.58°, I = 161
- hkl 1 2 2, 67.71°, I = 211
- hkl 1 1 4, 81.17°, I = 127
- hkl 2 1 2, 81.34°, I = 128
- hkl 1 3 0, 81.81°, I = 127
- hkl 2 2 0, 86.02°, I = 57

Structure:
Lattice parameters (Å, degrees): 2.7741 3.8993 5.5657 90.00 90.00 90.00
Space group Pmm2 (No. 25)
Symmetry-distinct sites (fractional):
Re 0.0000 0.0000 0.0000 [1 per cell]
Re 0.5000 0.5000 0.2407 [1 per cell]
Ru 0.0000 0.0000 0.4891 [1 per cell]
W 0.5000 0.5000 0.7369 [1 per cell]

Entry 4:
Structure and simulated powder X-ray diffraction pattern of Pm2TiSn3 (a crystal structure in Alexandria, relaxed with GGA-PBE; Cu Kα (λ = 1.5418 Å)).
Lines closer than 0.1° are merged.

Peak list (8 most intense, 2θ from 15° to 90°, sorted by position)
- hkl 0 4 1, 28.12°, I = 287
- hkl 2 0 0, 30.42°, I = 621
- hkl 1 3 -2, 30.61°, I = 1000
- hkl 1 1 -3, 35.27°, I = 205
- hkl 1 3 2, 38.31°, I = 969
- hkl 2 4 -1, 38.54°, I = 269
- hkl 3 3 -2, 48.61°, I = 153
- hkl 2 6 0, 49.71°, I = 205

Structure:
Lattice parameters (Å, degrees): 6.2556 14.0878 7.7843 90.00 110.05 90.00
Space group C2/c (No. 15)
Symmetry-distinct sites (fractional):
Pm 0.0000 0.0304 0.2500 [4 per cell]
Pm 0.0000 0.3227 0.2500 [4 per cell]
Ti 0.0000 0.3571 0.7500 [4 per cell]
Sn 0.0000 0.5000 0.0000 [4 per cell]
Sn 0.0553 0.1769 0.9591 [8 per cell]